Record 1
For LaNb3S, the PBE geometry in Alexandria gives the computed X-ray powder pattern in this record (CuKα).

The 10 most intense peaks (15° ≤ 2θ ≤ 90°), low angle first:
| d (Å) | I_rel |
| --- | --- |
| 3.369 | 9 |
| 2.751 | 100 |
| 2.382 | 68 |
| 1.945 | 4 |
| 1.685 | 46 |
| 1.437 | 40 |
| 1.375 | 15 |
| 1.273 | 2 |
| 1.191 | 7 |
| 1.093 | 17 |

Structural model:
```
5
Lattice="4.7648 0.0000 0.0000 0.0000 4.7648 0.0000 0.0000 0.0000 4.7648" Properties=species:S:1:pos:R:3 pbc="T T T"
La 0.0000 0.0000 0.0000
Nb 0.0000 2.3824 2.3824
Nb 2.3824 0.0000 2.3824
Nb 2.3824 2.3824 0.0000
S 2.3824 2.3824 2.3824
```

Record 2
For LaNb4Te8, the PBE geometry in Alexandria gives the computed X-ray powder pattern in this record (CuKα).

The 10 most intense peaks (15° ≤ 2θ ≤ 90°), low angle first:
| d (Å) | I_rel |
| --- | --- |
| 2.866 | 100 |
| 2.370 | 9 |
| 2.224 | 15 |
| 2.212 | 29 |
| 2.018 | 10 |
| 1.881 | 20 |
| 1.874 | 10 |
| 1.568 | 11 |
| 1.433 | 11 |
| 1.373 | 15 |

Structural model:
```
13
Lattice="6.5224 -3.7484 0.0000 6.5224 3.7484 0.0000 -4.3858 0.0000 8.0708" Properties=species:S:1:pos:R:3 pbc="T T T"
La 0.0000 0.0000 0.0000
Nb -2.1929 0.0000 4.0354
Nb 1.0683 1.8742 4.0354
Nb 1.0683 -1.8742 4.0354
Nb 4.3295 0.0000 4.0354
Te -0.0201 0.0000 5.8585
Te 3.2702 1.8251 5.8515
Te 5.3887 1.8251 2.2192
Te 2.2196 0.0000 2.2217
Te 6.4393 0.0000 5.8491
Te 3.2702 -1.8251 5.8515
Te 5.3887 -1.8251 2.2192
Te 8.6791 0.0000 2.2123
```

Record 3
For La2NbZn2, the PBE geometry in Alexandria gives the computed X-ray powder pattern in this record (CuKα).

The 10 most intense peaks (15° ≤ 2θ ≤ 90°), low angle first:
| d (Å) | I_rel |
| --- | --- |
| 5.201 | 18 |
| 3.678 | 42 |
| 2.992 | 100 |
| 2.600 | 87 |
| 2.573 | 42 |
| 2.108 | 18 |
| 1.839 | 31 |
| 1.829 | 60 |
| 1.567 | 28 |
| 1.496 | 31 |

Structural model:
```
5
Lattice="5.2010 0.0000 0.0000 0.0000 5.2010 0.0000 0.0000 0.0000 5.1465" Properties=species:S:1:pos:R:3 pbc="T T T"
La 0.0000 0.0000 0.0000
La 2.6005 2.6005 0.0000
Nb 0.0000 0.0000 2.5733
Zn 0.0000 2.6005 2.5733
Zn 2.6005 0.0000 2.5733
```